Diffraction record for MgAsRh2O6. The XRD peak list is computed, not measured: it uses a DFT-relaxed cell (GGA-PBE, Alexandria) and copper Kα.
No peak broadening, texture or thermal motion is included.

Main lines, in order of falling intensity (5 to 70 degrees two-theta):
hkl 1 1 1, 31.17 deg, I 100.0; hkl 0 0 1, 20.83 deg, I 67.6; hkl 2 0 0, 32.64 deg, I 54.4; hkl 1 1 2, 48.74 deg, I 46.5; hkl 2 2 0, 46.84 deg, I 39.6; hkl 3 1 1, 57.33 deg, I 35.6; hkl 3 1 2, 69.90 deg, I 29.9; hkl 2 2 1, 51.78 deg, I 20.7; hkl 2 0 1, 39.04 deg, I 17.2; hkl 1 0 0, 16.16 deg, I 13.5

Crystal structure
abc: 5.4864 5.4864 4.2640
angles: 90.00 90.00 90.00
Space group P4mm (No. 99)
Symmetry-distinct sites (fractional):
Mg (0.0000, 0.0000, 0.0000) [1 per cell]
As (0.5000, 0.5000, 0.9937) [1 per cell]
Rh (0.0000, 0.5000, 0.2900) [2 per cell]
O (0.0000, 0.0000, 0.5285) [1 per cell]
O (0.2676, 0.2676, 0.1321) [4 per cell]
O (0.5000, 0.5000, 0.6050) [1 per cell]

=====

Diffraction record for CePr4Ho10. The XRD peak list is computed, not measured: it uses a DFT-relaxed cell (GGA-PBE, Alexandria) and copper Kα.
No peak broadening, texture or thermal motion is included.

Main lines, in order of falling intensity (5 to 70 degrees two-theta):
hkl 4 0 0, 31.78 deg, I 100.0; hkl 3 3 0, 33.75 deg, I 37.5; hkl 3 3 2, 40.85 deg, I 36.3; hkl 2 0 2, 27.36 deg, I 28.8; hkl 3 2 1, 30.76 deg, I 28.3; hkl 7 3 2, 67.61 deg, I 17.5; hkl 1 0 3, 34.57 deg, I 16.7; hkl 5 0 3, 53.28 deg, I 15.9; hkl 3 1 0, 25.03 deg, I 15.1; hkl 3 2 5, 65.58 deg, I 14.5

Crystal structure
abc: 11.2485 11.2485 7.9993
angles: 90.00 90.00 90.00
Space group I4/mmm (No. 139)
Symmetry-distinct sites (fractional):
Ce (0.0000, 0.0000, 0.0000) [2 per cell]
Pr (0.2259, 0.2259, 0.0000) [8 per cell]
Ho (0.0000, 0.2058, 0.2942) [16 per cell]
Ho (0.0000, 0.5000, 0.2500) [4 per cell]

=====

Diffraction record for Zn11Ag. The XRD peak list is computed, not measured: it uses a DFT-relaxed cell (GGA-PBE, Alexandria) and copper Kα.
No peak broadening, texture or thermal motion is included.

Main lines, in order of falling intensity (5 to 70 degrees two-theta):
hkl 3 1 2, 41.95 deg, I 100.0; hkl 4 4 0, 41.84 deg, I 46.8; hkl 4 2 0, 32.79 deg, I 40.7; hkl 7 3 2, 68.82 deg, I 27.3; hkl 5 0 1, 40.83 deg, I 25.1; hkl 3 2 1, 31.54 deg, I 24.3; hkl 6 0 0, 44.51 deg, I 19.7; hkl 6 1 1, 48.62 deg, I 14.7; hkl 5 2 1, 43.55 deg, I 9.8; hkl 5 1 2, 51.96 deg, I 9.8

Crystal structure
abc: 12.2138 12.2138 5.1883
angles: 90.00 90.00 90.00
Space group I4_1/amd (No. 141, origin choice 2)
Symmetry-distinct sites (fractional):
Zn (0.0000, 0.0000, 0.0000) [8 per cell]
Zn (0.0000, 0.2500, 0.8750) [4 per cell]
Zn (0.1262, 0.0882, 0.6243) [32 per cell]
Ag (0.0000, 0.2500, 0.3750) [4 per cell]